The following is a computed XRD peak list of Mn3SbI9. It was derived from a DFT-relaxed cell (GGA-PBE, Alexandria), using λ = 1.5418 Å (Cu Kα).

Top 8 peaks for 5 to 70 degrees two-theta, low angle first:
- hkl 1 1 1, 2θ 14.79, intensity 86
- hkl 5 1 -2, 2θ 23.64, intensity 79
- hkl 2 0 2, 2θ 24.30, intensity 80
- hkl 2 2 -3, 2θ 25.29, intensity 100
- hkl 3 1 -4, 2θ 25.96, intensity 63
- hkl 4 2 0, 2θ 28.35, intensity 46
- hkl 7 1 -1, 2θ 36.40, intensity 45
- hkl 1 1 -6, 2θ 45.17, intensity 37

```
data_Mn3SbI9
_chemical_formula_sum 'Mn12 Sb4 I36'
_space_group_name_H-M_alt 'C 1 c 1'
_space_group_IT_number 9
_space_group_name_Hall 'C -2yc'
_cell_length_a 20.2728
_cell_length_b 10.4027
_cell_length_c 14.6315
_cell_angle_alpha 90.00
_cell_angle_beta 128.76
_cell_angle_gamma 90.00
loop_
_atom_site_label
_atom_site_type_symbol
_atom_site_fract_x
_atom_site_fract_y
_atom_site_fract_z
Mn1 Mn 0.0000 0.0651 0.0000
Mn2 Mn 0.0968 0.3800 0.8934
Mn3 Mn 0.3680 0.0762 0.5499
Sb1 Sb 0.2291 0.2760 0.7149
I1 I 0.0777 0.1288 0.6604
I2 I 0.0905 0.4517 0.5290
I3 I 0.1253 0.1493 0.9975
I4 I 0.2310 0.4197 0.8998
I5 I 0.2330 0.1875 0.5155
I6 I 0.3310 0.0277 0.8538
I7 I 0.3710 0.4756 0.7858
I8 I 0.4320 0.1263 0.2002
I9 I 0.4848 0.2656 0.6285
```


The following is a computed XRD peak list of AcGaRu. It was derived from a DFT-relaxed cell (GGA-PBE, Alexandria), using λ = 1.5418 Å (Cu Kα).

Top 8 peaks for 5 to 70 degrees two-theta, low angle first:
- hkl 1 0 1, 2θ 23.15, intensity 67
- hkl 1 1 0, 2θ 27.59, intensity 37
- hkl 1 1 1, 2θ 30.39, intensity 28
- hkl 1 0 2, 2θ 31.94, intensity 46
- hkl 1 1 2, 2θ 37.65, intensity 100
- hkl 2 0 0, 2θ 39.42, intensity 64
- hkl 2 1 1, 2θ 46.21, intensity 23
- hkl 2 1 2, 2θ 51.60, intensity 27

```
data_AcGaRu
_chemical_formula_sum 'Ac2 Ga2 Ru2'
_space_group_name_H-M_alt 'P 4/n m m'
_space_group_IT_number 129
_cell_length_a 4.5715
_cell_length_b 4.5715
_cell_length_c 7.0922
_cell_angle_alpha 90.00
_cell_angle_beta 90.00
_cell_angle_gamma 90.00
loop_
_space_group_symop_operation_xyz
'x,y,z'
'-x,-y,-z'
'-y+1/2,x,z'
'y+1/2,-x,-z'
'-x+1/2,-y+1/2,z'
'x+1/2,y+1/2,-z'
'y,-x+1/2,z'
'-y,x+1/2,-z'
'x+1/2,-y,-z'
'-x+1/2,y,z'
'-y,-x,-z'
'y,x,z'
'-x,y+1/2,-z'
'x,-y+1/2,z'
'y+1/2,x+1/2,-z'
'-y+1/2,-x+1/2,z'
loop_
_atom_site_label
_atom_site_type_symbol
_atom_site_fract_x
_atom_site_fract_y
_atom_site_fract_z
Ac1 Ac 0.2500 0.2500 0.2046
Ga1 Ga 0.2500 0.2500 0.6721
Ru1 Ru 0.2500 0.7500 0.5000
```


The following is a computed XRD peak list of Sc4Tc2Ge5. It was derived from a DFT-relaxed cell (GGA-PBE, Alexandria), using λ = 1.5418 Å (Cu Kα).

Top 8 peaks for 5 to 70 degrees two-theta, low angle first:
- hkl 1 3 0, 2θ 18.75, intensity 43
- hkl 3 3 0, 2θ 36.17, intensity 69
- hkl 1 6 1, 2θ 36.98, intensity 45
- hkl 1 7 0, 2θ 37.97, intensity 68
- hkl 3 2 1, 2θ 38.19, intensity 67
- hkl 1 3 2, 2θ 38.51, intensity 100
- hkl 2 0 2, 2θ 40.03, intensity 61
- hkl 1 5 2, 2θ 44.02, intensity 34

```
data_Sc4Tc2Ge5
_chemical_formula_sum 'Sc16 Tc8 Ge20'
_space_group_name_H-M_alt 'I b a m'
_space_group_IT_number 72
_space_group_name_Hall '-I 2 2c'
_cell_length_a 8.2520
_cell_length_b 17.3254
_cell_length_c 5.3775
_cell_angle_alpha 90.00
_cell_angle_beta 90.00
_cell_angle_gamma 90.00
loop_
_atom_site_label
_atom_site_type_symbol
_atom_site_fract_x
_atom_site_fract_y
_atom_site_fract_z
Sc1 Sc 0.1107 0.1467 0.0000
Sc2 Sc 0.2301 0.4396 0.0000
Tc1 Tc 0.0000 0.3048 0.2500
Ge1 Ge 0.0000 0.0000 0.2500
Ge2 Ge 0.0992 0.4226 0.5000
Ge3 Ge 0.2005 0.2110 0.5000
```